For LiCr4In4O12, DFT lattice parameters and positions (PBE+U) gives the calculated X-ray powder pattern in this record (a wavelength of 1.5418 Å).
No peak broadening, texture or thermal motion is included.

```
data_LiCr4In4O12
_chemical_formula_sum 'Li1 Cr4 In4 O12'
_space_group_name_H-M_alt 'P 1'
_space_group_IT_number 1
_cell_length_a 5.322
_cell_length_b 5.484
_cell_length_c 8.060
_cell_angle_alpha 88.82
_cell_angle_beta 87.42
_cell_angle_gamma 89.34
loop_
_space_group_symop_operation_xyz
'x,y,z'
loop_
_atom_site_label
_atom_site_fract_x
_atom_site_fract_y
_atom_site_fract_z
_atom_site_occupancy
Li1 0.000 0.000 0.000 1
Cr1 0.336 0.124 0.560 1
Cr2 0.398 0.095 0.075 1
Cr3 0.848 0.630 0.555 1
Cr4 0.860 0.580 0.054 1
In1 0.337 0.567 0.311 1
In2 0.369 0.667 0.830 1
In3 0.803 0.192 0.770 1
In4 0.858 0.073 0.338 1
O1 0.039 0.271 0.133 1
O2 0.039 0.330 0.495 1
O3 0.145 0.834 0.468 1
O4 0.192 0.758 0.099 1
O5 0.196 0.037 0.790 1
O6 0.478 0.202 0.330 1
O7 0.534 0.437 0.631 1
O8 0.571 0.394 0.980 1
O9 0.656 0.938 0.602 1
O10 0.680 0.891 0.963 1
O11 0.731 0.685 0.302 1
O12 0.981 0.546 0.802 1
```

Largest 10 diffraction maxima, in order of rising 2θ, 2θ = 10–90°:
| index | Position (°2θ) | d/Å | intensity |
| --- | --- | --- | --- |
| 1 1 2 | 31.5 | 2.844 | 64 |
| 1 -1 2 | 32.1 | 2.787 | 43 |
| -1 1 2 | 32.7 | 2.739 | 100 |
| 1 1 -2 | 33.0 | 2.715 | 50 |
| 2 0 0 | 33.7 | 2.658 | 44 |
| 0 0 4 | 45.0 | 2.013 | 24 |
| 2 2 0 | 47.4 | 1.918 | 23 |
| 2 -2 0 | 47.9 | 1.898 | 22 |
| 2 0 -4 | 58.8 | 1.572 | 24 |
| 3 1 -2 | 60.4 | 1.532 | 24 |